# 1
Theoretical powder X-ray diffraction pattern of Pr2NpAs3 for Cu Kα (λ = 1.5418 Å), from a crystal structure in Alexandria, relaxed with GGA-PBE.
Neutral-atom scattering factors, no anomalous dispersion.

Structural model:
```
12
Lattice="4.246 0.000 0.000 0.000 4.246 0.000 0.000 0.000 17.963" Properties=species:S:1:pos:R:3 pbc="T T T"
Pr 0.000 0.000 3.007
Pr 0.000 0.000 14.956
Pr 2.123 2.123 5.975
Pr 2.123 2.123 11.988
Np 0.000 0.000 8.982
Np 2.123 2.123 0.000
As 0.000 0.000 0.000
As 0.000 0.000 6.067
As 0.000 0.000 11.896
As 2.123 2.123 2.914
As 2.123 2.123 8.982
As 2.123 2.123 15.049
```

The 8 most intense peaks (10° ≤ 2θ ≤ 90°), in order of rising 2θ:
| two_theta | I_rel |
| --- | --- |
| 25.7 | 27 |
| 29.8 | 100 |
| 42.6 | 75 |
| 50.4 | 9 |
| 52.9 | 27 |
| 70.1 | 23 |
| 70.3 | 11 |
| 78.0 | 17 |

---

# 2
Theoretical powder X-ray diffraction pattern of Nd2Tm2Pb3 for Cu Kα (λ = 1.5418 Å), from a crystal structure in Alexandria, relaxed with GGA-PBE.
Neutral-atom scattering factors, no anomalous dispersion.

Structural model:
```
14
Lattice="16.313 0.000 0.000 0.000 4.632 0.000 -3.940 0.000 7.045" Properties=species:S:1:pos:R:3 pbc="T T T"
Nd 1.289 0.000 1.849
Nd 2.927 2.316 5.197
Nd 9.446 2.316 1.849
Nd 11.084 0.000 5.197
Tm -1.032 2.316 6.147
Tm 5.249 0.000 0.898
Tm 7.124 0.000 6.147
Tm 13.405 2.316 0.898
Pb 0.000 2.316 0.000
Pb 0.570 0.000 4.940
Pb 3.647 2.316 2.106
Pb 8.157 0.000 0.000
Pb 8.726 2.316 4.940
Pb 11.803 0.000 2.106
```

The 8 most intense peaks (10° ≤ 2θ ≤ 90°), in order of rising 2θ:
| two_theta | I_rel |
| --- | --- |
| 12.4 | 37 |
| 12.6 | 39 |
| 25.5 | 100 |
| 33.7 | 71 |
| 34.9 | 65 |
| 35.1 | 39 |
| 38.7 | 51 |
| 38.9 | 43 |

---

# 3
Theoretical powder X-ray diffraction pattern of TbMnCoB2 for Cu Kα (λ = 1.5418 Å), from a crystal structure in Alexandria, relaxed with GGA-PBE.
Neutral-atom scattering factors, no anomalous dispersion.

Structural model:
```
10
Lattice="3.565 0.000 0.000 0.000 3.565 0.000 0.000 0.000 9.641" Properties=species:S:1:pos:R:3 pbc="T T T"
Tb 0.000 0.000 0.000
Tb 1.783 1.783 4.821
Mn 0.000 1.783 7.231
Mn 1.783 0.000 2.410
Co 0.000 1.783 2.410
Co 1.783 0.000 7.231
B 0.000 0.000 3.427
B 0.000 0.000 6.214
B 1.783 1.783 1.393
B 1.783 1.783 8.248
```

The 8 most intense peaks (10° ≤ 2θ ≤ 90°), in order of rising 2θ:
| two_theta | I_rel |
| --- | --- |
| 26.7 | 88 |
| 37.3 | 29 |
| 37.7 | 49 |
| 40.4 | 100 |
| 51.3 | 28 |
| 58.7 | 20 |
| 65.1 | 22 |
| 69.4 | 21 |

---

# 4
Theoretical powder X-ray diffraction pattern of MgIn for Cu Kα (λ = 1.5418 Å), from a crystal structure in Alexandria, relaxed with GGA-PBE.
Neutral-atom scattering factors, no anomalous dispersion.

Structural model:
```
4
Lattice="3.355 0.000 0.000 -1.677 2.905 0.000 0.000 0.000 10.139" Properties=species:S:1:pos:R:3 pbc="T T T"
Mg 0.000 1.937 3.843
Mg 1.677 0.968 6.296
In 0.000 1.937 8.783
In 1.677 0.968 1.357
```

The 8 most intense peaks (10° ≤ 2θ ≤ 90°), in order of rising 2θ:
| two_theta | I_rel |
| --- | --- |
| 30.8 | 25 |
| 32.0 | 39 |
| 35.4 | 22 |
| 35.6 | 100 |
| 47.6 | 15 |
| 54.7 | 19 |
| 63.7 | 16 |
| 66.9 | 19 |

---

# 5
Theoretical powder X-ray diffraction pattern of Mg5Co for Cu Kα (λ = 1.5418 Å), from a crystal structure in Alexandria, relaxed with GGA-PBE.
Neutral-atom scattering factors, no anomalous dispersion.

Structural model:
```
6
Lattice="3.196 0.000 0.000 0.000 3.196 0.000 0.000 0.000 11.394" Properties=species:S:1:pos:R:3 pbc="T T T"
Mg 0.000 0.000 0.000
Mg 0.000 0.000 4.301
Mg 0.000 0.000 7.093
Mg 1.598 1.598 2.158
Mg 1.598 1.598 9.236
Co 1.598 1.598 5.697
```

The 8 most intense peaks (10° ≤ 2θ ≤ 90°), in order of rising 2θ:
| two_theta | I_rel |
| --- | --- |
| 15.6 | 21 |
| 36.8 | 100 |
| 39.9 | 50 |
| 42.5 | 19 |
| 49.1 | 9 |
| 57.7 | 16 |
| 64.0 | 8 |
| 70.4 | 26 |

---

# 6
Theoretical powder X-ray diffraction pattern of ZnNi8Rh6 for Cu Kα (λ = 1.5418 Å), from a crystal structure in Alexandria, relaxed with GGA-PBE.
Neutral-atom scattering factors, no anomalous dispersion.

Structural model:
```
15
Lattice="4.557 0.000 0.000 2.277 6.483 0.000 2.177 1.345 6.381" Properties=species:S:1:pos:R:3 pbc="T T T"
Zn 0.000 0.000 0.000
Ni 2.980 5.227 4.262
Ni 2.285 1.292 0.016
Ni 3.771 3.897 2.137
Ni 5.264 6.487 4.266
Ni 3.748 1.341 2.115
Ni 5.241 3.932 4.245
Ni 6.726 6.536 6.365
Ni 6.031 2.602 2.120
Rh 2.974 2.649 4.218
Rh 4.464 5.214 6.370
Rh 3.794 6.505 2.131
Rh 5.217 1.324 4.250
Rh 4.548 2.614 0.011
Rh 6.037 5.179 2.163
```

The 8 most intense peaks (10° ≤ 2θ ≤ 90°), in order of rising 2θ:
| two_theta | I_rel |
| --- | --- |
| 42.3 | 100 |
| 42.5 | 99 |
| 48.7 | 33 |
| 49.5 | 31 |
| 49.9 | 30 |
| 72.0 | 29 |
| 72.9 | 18 |
| 86.5 | 12 |

---

# 7
Theoretical powder X-ray diffraction pattern of Na2Nd2Ti3O10 for Cu Kα (λ = 1.5418 Å), from a crystal structure in Alexandria, relaxed with GGA-PBE.
Neutral-atom scattering factors, no anomalous dispersion.

Structural model:
```
17
Lattice="-1.925 1.925 14.387 1.925 -1.925 14.387 1.925 1.925 -14.387" Properties=species:S:1:pos:R:3 pbc="T T T"
Na 0.000 0.000 6.101
Na 0.000 0.000 22.673
Nd 0.000 0.000 2.167
Nd 0.000 0.000 26.606
Ti 0.000 0.000 10.165
Ti 0.000 0.000 14.387
Ti 0.000 0.000 18.609
O 1.925 0.000 0.000
O 1.925 0.000 3.791
O 0.000 0.000 8.403
O 1.925 0.000 10.595
O 0.000 0.000 12.449
O 0.000 1.925 0.000
O 0.000 0.000 16.324
O 0.000 1.925 3.791
O 0.000 0.000 20.371
O 0.000 1.925 10.595
```

The 8 most intense peaks (10° ≤ 2θ ≤ 90°), in order of rising 2θ:
| two_theta | I_rel |
| --- | --- |
| 27.9 | 39 |
| 31.8 | 100 |
| 32.9 | 55 |
| 38.0 | 22 |
| 41.6 | 25 |
| 47.2 | 39 |
| 56.1 | 23 |
| 58.1 | 36 |

---

# 8
Theoretical powder X-ray diffraction pattern of Zn3SeF for Cu Kα (λ = 1.5418 Å), from a crystal structure in Alexandria, relaxed with GGA-PBE.
Neutral-atom scattering factors, no anomalous dispersion.

Structural model:
```
10
Lattice="4.586 0.000 0.000 2.243 6.042 0.000 2.258 2.455 6.787" Properties=species:S:1:pos:R:3 pbc="T T T"
Zn 0.000 0.000 0.000
Zn 1.578 1.691 4.351
Zn 2.700 2.135 2.175
Zn 3.834 2.429 4.801
Zn 4.584 4.733 2.152
Zn 6.861 5.976 5.329
Se 4.677 4.842 4.542
Se 4.883 2.669 0.887
F 2.595 5.070 1.738
F 4.962 6.340 0.994
```

The 8 most intense peaks (10° ≤ 2θ ≤ 90°), in order of rising 2θ:
| two_theta | I_rel |
| --- | --- |
| 22.7 | 60 |
| 26.3 | 66 |
| 29.4 | 45 |
| 29.7 | 100 |
| 30.6 | 39 |
| 41.7 | 38 |
| 42.6 | 45 |
| 49.0 | 44 |

---

# 9
Theoretical powder X-ray diffraction pattern of Pr2AsPt3 for Cu Kα (λ = 1.5418 Å), from a crystal structure in Alexandria, relaxed with GGA-PBE.
Neutral-atom scattering factors, no anomalous dispersion.

Structural model:
```
6
Lattice="3.930 0.000 0.000 0.000 4.399 0.000 0.000 0.000 7.785" Properties=species:S:1:pos:R:3 pbc="T T T"
Pr 0.000 0.000 0.000
Pr 0.000 2.199 3.772
As 1.965 2.199 6.340
Pt 1.965 0.000 2.567
Pt 1.965 0.000 5.256
Pt 1.965 2.199 1.051
```

The 8 most intense peaks (10° ≤ 2θ ≤ 90°), in order of rising 2θ:
| two_theta | I_rel |
| --- | --- |
| 22.6 | 22 |
| 32.4 | 47 |
| 32.6 | 100 |
| 40.4 | 59 |
| 41.0 | 30 |
| 46.2 | 22 |
| 53.2 | 23 |
| 63.0 | 32 |

---

# 10
Theoretical powder X-ray diffraction pattern of Nd8PtPb2 for Cu Kα (λ = 1.5418 Å), from a crystal structure in Alexandria, relaxed with GGA-PBE.
Neutral-atom scattering factors, no anomalous dispersion.

Structural model:
```
11
Lattice="10.003 -2.561 0.000 10.003 2.561 0.000 -1.734 0.000 6.829" Properties=species:S:1:pos:R:3 pbc="T T T"
Nd -0.184 0.000 1.917
Nd 2.885 0.000 5.652
Nd 6.219 0.000 3.370
Nd 8.134 0.000 0.197
Nd 10.137 0.000 6.632
Nd 12.053 0.000 3.459
Nd 15.387 0.000 1.176
Nd 18.456 0.000 4.911
Pt 9.136 0.000 3.414
Pb 3.176 0.000 1.793
Pb 15.096 0.000 5.036
```

The 8 most intense peaks (10° ≤ 2θ ≤ 90°), in order of rising 2θ:
| two_theta | I_rel |
| --- | --- |
| 27.5 | 26 |
| 28.9 | 63 |
| 30.9 | 100 |
| 32.8 | 31 |
| 34.1 | 21 |
| 35.1 | 82 |
| 36.4 | 40 |
| 61.5 | 28 |

---

# 11
Theoretical powder X-ray diffraction pattern of BaNpPb2O6 for Cu Kα (λ = 1.5418 Å), from a crystal structure in Alexandria, relaxed with GGA-PBE.
Neutral-atom scattering factors, no anomalous dispersion.

Structural model:
```
10
Lattice="5.325 -3.058 0.000 5.325 3.058 0.000 -3.669 0.000 5.866" Properties=species:S:1:pos:R:3 pbc="T T T"
Ba 0.000 0.000 0.000
Np 3.490 0.000 2.933
Pb 0.112 0.000 3.858
Pb 6.868 0.000 2.008
O 2.092 1.488 3.714
O 2.489 0.000 1.285
O 4.888 1.488 2.152
O 2.092 -1.488 3.714
O 4.491 0.000 4.582
O 4.888 -1.488 2.152
```

The 8 most intense peaks (10° ≤ 2θ ≤ 90°), in order of rising 2θ:
| two_theta | I_rel |
| --- | --- |
| 15.1 | 56 |
| 26.0 | 35 |
| 26.5 | 99 |
| 29.1 | 100 |
| 29.2 | 49 |
| 32.7 | 28 |
| 39.5 | 35 |
| 50.2 | 26 |

---

# 12
Theoretical powder X-ray diffraction pattern of SmMnAl for Cu Kα (λ = 1.5418 Å), from a crystal structure in Alexandria, relaxed with GGA-PBE.
Neutral-atom scattering factors, no anomalous dispersion.

Structural model:
```
3
Lattice="4.570 0.000 0.000 -2.285 3.958 0.000 0.000 0.000 3.680" Properties=species:S:1:pos:R:3 pbc="T T T"
Sm 0.000 0.000 0.000
Mn 2.285 1.319 1.840
Al 0.000 2.639 1.840
```

The 8 most intense peaks (10° ≤ 2θ ≤ 90°), in order of rising 2θ:
| two_theta | I_rel |
| --- | --- |
| 22.5 | 44 |
| 33.2 | 100 |
| 39.4 | 45 |
| 49.5 | 8 |
| 52.5 | 27 |
| 55.0 | 8 |
| 65.1 | 20 |
| 67.6 | 25 |

---

# 13
Theoretical powder X-ray diffraction pattern of PuIn3Pd7 for Cu Kα (λ = 1.5418 Å), from a crystal structure in Alexandria, relaxed with GGA-PBE.
Neutral-atom scattering factors, no anomalous dispersion.

Structural model:
```
11
Lattice="4.299 -4.890 0.000 4.299 4.890 0.000 -2.124 0.000 5.075" Properties=species:S:1:pos:R:3 pbc="T T T"
Pu 0.000 0.000 0.000
In 3.237 2.229 2.537
In 4.299 0.000 0.000
In 3.237 -2.229 2.537
Pd -1.062 0.000 2.537
Pd 1.048 2.287 4.159
Pd 1.689 0.000 2.313
Pd 5.425 2.287 0.915
Pd 1.048 -2.287 4.159
Pd 4.785 0.000 2.762
Pd 5.425 -2.287 0.915
```

The 8 most intense peaks (10° ≤ 2θ ≤ 90°), in order of rising 2θ:
| two_theta | I_rel |
| --- | --- |
| 22.5 | 31 |
| 29.0 | 45 |
| 33.8 | 70 |
| 36.8 | 81 |
| 38.5 | 100 |
| 40.0 | 37 |
| 46.1 | 44 |
| 50.8 | 38 |

---

# 14
Theoretical powder X-ray diffraction pattern of CaAg2Cl4 for Cu Kα (λ = 1.5418 Å), from a crystal structure in Alexandria, relaxed with GGA-PBE.
Neutral-atom scattering factors, no anomalous dispersion.

Structural model:
```
28
Lattice="8.146 0.000 0.000 0.000 8.146 0.000 0.000 0.000 11.315" Properties=species:S:1:pos:R:3 pbc="T T T"
Ca 0.000 2.155 0.000
Ca 0.000 5.990 5.658
Ca 2.155 0.000 8.487
Ca 5.990 0.000 2.829
Ag 2.000 2.000 4.243
Ag 2.000 6.146 1.414
Ag 2.202 4.073 8.487
Ag 4.073 2.202 0.000
Ag 4.073 5.944 5.658
Ag 5.944 4.073 2.829
Ag 6.146 2.000 7.072
Ag 6.146 6.146 9.901
Cl 0.176 1.968 8.571
Cl 0.176 6.177 8.403
Cl 1.968 0.176 11.232
Cl 1.968 7.970 5.742
Cl 1.991 4.025 11.216
Cl 1.991 4.120 5.757
Cl 4.025 1.991 8.586
Cl 4.025 6.154 8.387
Cl 4.120 1.991 2.729
Cl 4.120 6.154 2.929
Cl 6.154 4.025 0.100
Cl 6.154 4.120 5.558
Cl 6.177 0.176 0.084
Cl 6.177 7.970 5.574
Cl 7.970 1.968 2.745
Cl 7.970 6.177 2.913
```

The 8 most intense peaks (10° ≤ 2θ ≤ 90°), in order of rising 2θ:
| two_theta | I_rel |
| --- | --- |
| 21.8 | 19 |
| 22.0 | 40 |
| 25.7 | 100 |
| 26.0 | 47 |
| 31.1 | 21 |
| 40.7 | 36 |
| 44.5 | 35 |
| 44.9 | 69 |